Entry 1:
Structure and calculated XRD peak list of In4Te3 (a structure optimized by DFT (GGA-PBE); Cu Kα (λ = 1.5418 Å)).

Atomic structure:
```
28
Lattice="12.9952 0.0000 0.0000 0.0000 16.0001 0.0000 0.0000 0.0000 4.5159" Properties=species:S:1:pos:R:3 pbc="T T T"
In 0.3312 2.9288 0.0000
In 1.3401 6.8399 0.0000
In 1.9022 0.5703 0.0000
In 2.0166 11.4374 0.0000
In 4.4810 3.4374 2.2579
In 4.5954 8.5704 2.2579
In 5.1575 14.8400 2.2579
In 6.1665 10.9289 2.2579
In 6.8288 5.0713 2.2579
In 7.8377 1.1601 2.2579
In 8.3999 7.4297 2.2579
In 8.5142 12.5628 2.2579
In 10.9787 4.5627 0.0000
In 11.0930 15.4298 0.0000
In 11.6551 9.1602 0.0000
In 12.6641 13.0713 0.0000
Te 1.7694 4.3916 2.2579
Te 1.8118 9.5360 2.2579
Te 1.9276 14.7615 2.2579
Te 4.5700 6.7614 0.0000
Te 4.6858 1.5359 0.0000
Te 4.7282 12.3917 0.0000
Te 8.2670 3.6085 0.0000
Te 8.3095 14.4642 0.0000
Te 8.4253 9.2387 0.0000
Te 11.0676 1.2386 2.2579
Te 11.1834 6.4641 2.2579
Te 11.2258 11.6085 2.2579
```

Most intense lines, 10° ≤ 2θ ≤ 90°, sorted by position:
| d/Å | two_theta | I (rel.) |
| --- | --- | --- |
| 3.363 | 26.5 | 26 |
| 3.331 | 26.8 | 100 |
| 3.249 | 27.5 | 29 |
| 2.697 | 33.2 | 23 |
| 2.259 | 39.9 | 33 |
| 2.165 | 41.7 | 24 |
| 2.075 | 43.6 | 34 |
| 2.061 | 43.9 | 12 |
| 1.875 | 48.6 | 12 |
| 1.854 | 49.1 | 12 |

Entry 2:
Structure and calculated XRD peak list of In2Te3 (a structure optimized by DFT (GGA-PBE); Cu Kα (λ = 1.5418 Å)).

Atomic structure:
```
45
Lattice="0.0000 9.4872 9.4872 9.4872 0.0000 9.4872 9.4872 9.4872 0.0000" Properties=species:S:1:pos:R:3 pbc="T T T"
In 9.5543 6.2473 6.2473
In 12.7271 9.4201 6.2473
In 12.7271 6.2473 9.4201
In 9.4872 9.4872 3.1992
In 9.4872 3.1992 9.4872
In 15.7752 9.4872 9.4872
In 6.2473 9.5543 6.2473
In 9.4201 12.7271 6.2473
In 6.2473 6.2473 9.5543
In 12.7271 12.7271 9.5543
In 9.4201 6.2473 12.7271
In 12.7271 9.5543 12.7271
In 3.1992 9.4872 9.4872
In 9.4872 15.7752 9.4872
In 9.4872 9.4872 15.7752
In 6.2473 12.7271 9.4201
In 6.2473 9.4201 12.7271
In 9.5543 12.7271 12.7271
Te 7.6940 7.6940 4.5829
Te 11.2804 11.2804 4.5829
Te 7.6940 4.5829 7.6940
Te 14.3915 11.2804 7.6940
Te 11.2804 4.5829 11.2804
Te 14.3915 7.6940 11.2804
Te 4.7436 4.7436 4.7436
Te 10.9261 8.0483 8.0483
Te 17.2077 11.2539 11.2539
Te 4.5829 7.6940 7.6940
Te 11.2804 14.3915 7.6940
Te 11.2804 7.6940 14.3915
Te 8.0483 10.9261 8.0483
Te 8.0483 8.0483 10.9261
Te 10.9261 10.9261 10.9261
Te 14.2308 14.2308 11.3419
Te 14.2308 11.3419 14.2308
Te 17.1198 14.2308 14.2308
Te 11.3419 14.2308 14.2308
Te 14.2308 17.1198 14.2308
Te 14.2308 14.2308 17.1198
Te 11.2539 17.2077 11.2539
Te 11.2539 11.2539 17.2077
Te 17.2077 17.2077 17.2077
Te 4.5829 11.2804 11.2804
Te 7.6940 14.3915 11.2804
Te 7.6940 11.2804 14.3915
```

Most intense lines, 10° ≤ 2θ ≤ 90°, sorted by position:
| d/Å | two_theta | I (rel.) |
| --- | --- | --- |
| 3.652 | 24.4 | 100 |
| 3.207 | 27.8 | 9 |
| 2.470 | 36.4 | 6 |
| 2.301 | 39.1 | 5 |
| 2.236 | 40.3 | 68 |
| 1.907 | 47.7 | 39 |
| 1.581 | 58.4 | 9 |
| 1.451 | 64.2 | 15 |
| 1.291 | 73.3 | 17 |
| 1.217 | 78.6 | 8 |